(1)
Structure and theoretical powder diffraction line list of MgCO6 (a DFT-relaxed cell (PBE, the Materials Project); Cu Kα).
Lines closer than 0.1° are merged.

Largest 8 diffraction maxima, low angle first, 10 to 80 degrees two-theta:
2theta, Rel. int., index
14.15, 12, 1 0 0
14.62, 27, 0 0 2
24.31, 24, 1 0 2
26.07, 100, 2 0 -2
26.86, 24, 1 0 -4
27.74, 15, 0 1 3
33.23, 10, 2 1 0
39.42, 10, 3 0 -2

Structural model:
```
data_MgCO6
_chemical_formula_sum 'Mg4 C4 O24'
_symmetry_space_group_name_H-M 'P 1 21/c 1'
_symmetry_Int_Tables_number 14
_cell_length_a 6.8779
_cell_length_b 5.3112
_cell_length_c 13.3172
_cell_angle_alpha 90.00
_cell_angle_beta 114.48
_cell_angle_gamma 90.00
loop_
_symmetry_equiv_pos_as_xyz
'x,y,z'
'-x,-y,-z'
'-x,y+1/2,-z+1/2'
'x,-y+1/2,z+1/2'
loop_
_atom_site_label
_atom_site_fract_x
_atom_site_fract_y
_atom_site_fract_z
Mg1 0.0987 0.0884 0.3533
C1 0.1525 0.6419 0.4024
O1 0.0665 0.7211 0.2967
O2 0.1796 0.0897 0.9276
O3 0.2026 0.6770 0.9731
O4 0.3548 0.0356 0.6882
O5 0.3676 0.2125 0.1777
O6 0.4351 0.0888 0.2901
```

---

(2)
Structure and theoretical powder diffraction line list of LiLaSn2 (a DFT-relaxed cell (PBE, the Materials Project); Cu Kα).
Lines closer than 0.1° are merged.

Largest 8 diffraction maxima, low angle first, 10 to 80 degrees two-theta:
2theta, Rel. int., index
23.74, 16, 1 3 0
27.79, 14, 0 6 0
30.84, 100, 1 3 1
34.12, 18, 0 6 1
39.02, 18, 2 0 0
39.40, 17, 0 0 2
56.65, 12, 2 0 2
65.64, 12, 3 3 1

Structural model:
```
data_LiLaSn2
_chemical_formula_sum 'Li4 La4 Sn8'
_symmetry_space_group_name_H-M 'C m c m'
_symmetry_Int_Tables_number 63
_symmetry_space_group_name_Hall '-C 2c 2'
_cell_length_a 4.6171
_cell_length_b 19.2647
_cell_length_c 4.5739
_cell_angle_alpha 90.00
_cell_angle_beta 90.00
_cell_angle_gamma 90.00
loop_
_atom_site_label
_atom_site_fract_x
_atom_site_fract_y
_atom_site_fract_z
Li1 0.0000 0.1768 0.2500
La1 0.0000 0.3946 0.2500
Sn1 0.0000 0.0441 0.2500
Sn2 0.0000 0.2514 0.7500
```